NpPa3Tl2O12: simulated powder XRD pattern (λ = 1.5418 Å (Cu Kα)), based on DFT lattice parameters and positions (GGA-PBE).
Lines closer than 0.1° are merged.

Cell and atoms:
a = 8.0717 Å, b = 8.0717 Å, c = 8.0717 Å
α = 59.46°, β = 59.46°, γ = 59.46°
Positions (direct):
Np (0.0000, 0.0000, 0.0000)
Pa (0.0000, 0.0000, 0.5000)
Pa (0.0000, 0.5000, 0.0000)
Pa (0.5000, 0.0000, 0.0000)
Tl (0.4079, 0.4079, 0.4079)
Tl (0.5921, 0.5921, 0.5921)
O (0.0593, 0.0593, 0.7032)
O (0.0593, 0.7032, 0.0593)
O (0.0723, 0.6792, 0.6792)
O (0.2968, 0.9407, 0.9407)
O (0.3208, 0.3208, 0.9277)
O (0.3208, 0.9277, 0.3208)
O (0.6792, 0.0723, 0.6792)
O (0.6792, 0.6792, 0.0723)
O (0.7032, 0.0593, 0.0593)
O (0.9277, 0.3208, 0.3208)
O (0.9407, 0.2968, 0.9407)
O (0.9407, 0.9407, 0.2968)

The 10 most intense peaks (2θ from 10° to 80°), by angle:
2theta  d (Å)  I/Imax
13.4  6.617  25
25.9  3.445  63
26.1  3.420  100
27.2  3.273  87
41.3  2.187  31
45.3  2.002  37
47.2  1.925  19
52.9  1.731  20
53.2  1.723  19
63.0  1.476  20

***

NpPb2O8: simulated powder XRD pattern (λ = 1.5418 Å (Cu Kα)), based on DFT lattice parameters and positions (GGA-PBE).
Lines closer than 0.1° are merged.

Cell and atoms:
a = 6.1296 Å, b = 6.1296 Å, c = 9.3724 Å
α = 103.79°, β = 103.79°, γ = 32.98°
Positions (direct):
Np (0.0000, 0.0000, 0.0000)
Pb (0.3652, 0.3652, 0.6092)
Pb (0.6348, 0.6348, 0.3908)
O (0.0157, 0.0157, 0.3910)
O (0.1307, 0.1307, 0.9367)
O (0.2533, 0.2533, 0.3768)
O (0.4354, 0.4354, 0.8607)
O (0.5646, 0.5646, 0.1393)
O (0.7467, 0.7467, 0.6232)
O (0.8693, 0.8693, 0.0633)
O (0.9843, 0.9843, 0.6090)

The 10 most intense peaks (2θ from 10° to 80°), by angle:
2theta  d (Å)  I/Imax
16.2  5.474  100
19.6  4.539  25
28.0  3.184  36
29.2  3.053  60
29.8  2.999  21
32.2  2.782  25
35.0  2.565  33
37.3  2.413  21
50.4  1.812  16
51.1  1.789  18

***

Np2PbO7: simulated powder XRD pattern (λ = 1.5418 Å (Cu Kα)), based on DFT lattice parameters and positions (GGA-PBE).
Lines closer than 0.1° are merged.

Cell and atoms:
a = 10.8685 Å, b = 10.8685 Å, c = 10.8685 Å
α = 20.40°, β = 20.40°, γ = 20.40°
Positions (direct):
Np (0.0644, 0.0644, 0.0644)
Np (0.9356, 0.9356, 0.9356)
Pb (0.5000, 0.5000, 0.5000)
O (0.0000, 0.0000, 0.0000)
O (0.1280, 0.1280, 0.1280)
O (0.2821, 0.2821, 0.2821)
O (0.4142, 0.4142, 0.4142)
O (0.5858, 0.5858, 0.5858)
O (0.7179, 0.7179, 0.7179)
O (0.8720, 0.8720, 0.8720)

The 10 most intense peaks (2θ from 10° to 80°), by angle:
2theta  d (Å)  I/Imax
25.1  3.546  56
26.9  3.315  19
27.3  3.263  100
30.3  2.954  47
33.3  2.691  64
47.2  1.924  51
48.4  1.882  33
53.5  1.712  25
54.2  1.691  43
55.4  1.657  15

***

NpTe2PdO: simulated powder XRD pattern (λ = 1.5418 Å (Cu Kα)), based on DFT lattice parameters and positions (GGA-PBE).
Lines closer than 0.1° are merged.

Cell and atoms:
a = 3.9510 Å, b = 3.9510 Å, c = 14.2377 Å
α = 90.00°, β = 90.00°, γ = 90.00°
Positions (direct):
Np (0.2500, 0.2500, 0.0845)
Np (0.7500, 0.7500, 0.9155)
Te (0.2500, 0.2500, 0.4173)
Te (0.2500, 0.2500, 0.7953)
Te (0.7500, 0.7500, 0.2047)
Te (0.7500, 0.7500, 0.5827)
Pd (0.2500, 0.2500, 0.6053)
Pd (0.7500, 0.7500, 0.3947)
O (0.2500, 0.7500, 0.0000)
O (0.7500, 0.2500, 0.0000)

The 10 most intense peaks (2θ from 10° to 80°), by angle:
2theta  d (Å)  I/Imax
12.4  7.119  19
25.8  3.455  19
29.4  3.036  87
32.0  2.794  100
33.9  2.645  34
41.1  2.198  18
45.9  1.975  41
50.5  1.809  34
55.5  1.656  30
76.2  1.249  17

***

NpTePdO6: simulated powder XRD pattern (λ = 1.5418 Å (Cu Kα)), based on DFT lattice parameters and positions (GGA-PBE).
Lines closer than 0.1° are merged.

Cell and atoms:
a = 5.6567 Å, b = 5.6567 Å, c = 9.1548 Å
α = 90.00°, β = 90.00°, γ = 120.00°
Positions (direct):
Np (0.3333, 0.6667, 0.2500)
Np (0.6667, 0.3333, 0.7500)
Te (0.3333, 0.6667, 0.7500)
Te (0.6667, 0.3333, 0.2500)
Pd (0.0000, 0.0000, 0.0000)
Pd (0.0000, 0.0000, 0.5000)
O (0.0123, 0.3564, 0.1326)
O (0.0123, 0.6558, 0.3674)
O (0.3442, 0.3564, 0.3674)
O (0.3442, 0.9877, 0.1326)
O (0.3564, 0.0123, 0.6326)
O (0.3564, 0.3442, 0.8674)
O (0.6436, 0.6558, 0.1326)
O (0.6436, 0.9877, 0.3674)
O (0.6558, 0.0123, 0.8674)
O (0.6558, 0.6436, 0.6326)
O (0.9877, 0.3442, 0.6326)
O (0.9877, 0.6436, 0.8674)

The 10 most intense peaks (2θ from 10° to 80°), by angle:
2theta  d (Å)  I/Imax
19.4  4.577  28
20.6  4.319  20
26.7  3.345  100
31.6  2.828  67
37.4  2.406  33
41.8  2.160  30
51.4  1.779  52
53.4  1.716  31
56.3  1.633  22
79.7  1.203  14

***

Pm2Np2O7: simulated powder XRD pattern (λ = 1.5418 Å (Cu Kα)), based on DFT lattice parameters and positions (GGA-PBE).
Lines closer than 0.1° are merged.

Cell and atoms:
a = 7.7607 Å, b = 7.7607 Å, c = 7.7607 Å
α = 60.00°, β = 60.00°, γ = 60.00°
Positions (direct):
Pm (0.0000, 0.0000, 0.0000)
Pm (0.0000, 0.0000, 0.5000)
Pm (0.0000, 0.5000, 0.0000)
Pm (0.5000, 0.0000, 0.0000)
Np (0.0000, 0.5000, 0.5000)
Np (0.5000, 0.0000, 0.5000)
Np (0.5000, 0.5000, 0.0000)
Np (0.5000, 0.5000, 0.5000)
O (0.1250, 0.1250, 0.1250)
O (0.1515, 0.1515, 0.5985)
O (0.1515, 0.5985, 0.1515)
O (0.1515, 0.5985, 0.5985)
O (0.4015, 0.4015, 0.8485)
O (0.4015, 0.8485, 0.4015)
O (0.4015, 0.8485, 0.8485)
O (0.5985, 0.1515, 0.1515)
O (0.5985, 0.1515, 0.5985)
O (0.5985, 0.5985, 0.1515)
O (0.8485, 0.4015, 0.4015)
O (0.8485, 0.4015, 0.8485)
O (0.8485, 0.8485, 0.4015)
O (0.8750, 0.8750, 0.8750)

The 10 most intense peaks (2θ from 10° to 80°), by angle:
2theta  d (Å)  I/Imax
14.0  6.337  6
26.9  3.309  6
28.2  3.168  100
32.6  2.744  37
46.8  1.940  48
55.5  1.655  46
58.2  1.584  11
68.4  1.372  7
75.5  1.259  19
77.8  1.227  15

***

PmNpO4: simulated powder XRD pattern (λ = 1.5418 Å (Cu Kα)), based on DFT lattice parameters and positions (GGA-PBE).
Lines closer than 0.1° are merged.

Cell and atoms:
a = 6.5425 Å, b = 6.5425 Å, c = 6.5425 Å
α = 34.53°, β = 34.53°, γ = 34.53°
Positions (direct):
Pm (0.0000, 0.0000, 0.0000)
Np (0.5000, 0.5000, 0.5000)
O (0.1331, 0.1331, 0.1331)
O (0.3838, 0.3838, 0.3838)
O (0.6162, 0.6162, 0.6162)
O (0.8669, 0.8669, 0.8669)

The 10 most intense peaks (2θ from 10° to 80°), by angle:
2theta  d (Å)  I/Imax
28.2  3.160  100
29.1  3.073  31
33.0  2.717  46
46.8  1.942  34
47.8  1.901  31
55.5  1.654  16
56.0  1.642  30
57.0  1.617  15
75.5  1.259  13
77.9  1.226  15

***

PmNp2O8: simulated powder XRD pattern (λ = 1.5418 Å (Cu Kα)), based on DFT lattice parameters and positions (GGA-PBE).
Lines closer than 0.1° are merged.

Cell and atoms:
a = 7.0139 Å, b = 7.0139 Å, c = 4.2328 Å
α = 90.00°, β = 90.00°, γ = 120.00°
Positions (direct):
Pm (0.0000, 0.0000, 0.0000)
Np (0.3333, 0.6667, 0.2568)
Np (0.6667, 0.3333, 0.7432)
O (0.1726, 0.8261, 0.2549)
O (0.1739, 0.3465, 0.2549)
O (0.3333, 0.6667, 0.7588)
O (0.3465, 0.1726, 0.7451)
O (0.6535, 0.8274, 0.2549)
O (0.6667, 0.3333, 0.2412)
O (0.8261, 0.6535, 0.7451)
O (0.8274, 0.1739, 0.7451)

The 10 most intense peaks (2θ from 10° to 80°), by angle:
2theta  d (Å)  I/Imax
25.4  3.507  100
25.7  3.473  98
36.4  2.468  23
44.8  2.025  22
44.9  2.018  43
45.4  1.999  17
52.2  1.753  20
52.7  1.736  14
59.0  1.565  20
59.4  1.556  15

***

- Which formula does entry 8 have?
  PmNp2O8